Structure and theoretical powder diffraction line list of KMg3GaSi3H2O12 (a PBE-relaxed structure; Cu Kα).

Crystal structure
```
KMg3GaSi3H2O12
1.0
5.360 0.000 0.000
2.675 4.653 0.000
0.876 1.566 10.432
K Mg Ga Si H O
1 3 1 3 2 12
direct
0.000 0.000 0.000 K
0.334 0.823 0.523 Mg
0.665 0.157 0.524 Mg
0.999 0.497 0.524 Mg
0.334 0.403 0.788 Ga
0.335 0.246 0.254 Si
0.666 0.735 0.794 Si
0.668 0.583 0.254 Si
0.000 0.102 0.708 H
0.991 0.897 0.324 H
0.000 0.129 0.614 O
0.001 0.459 0.195 O
0.335 0.460 0.613 O
0.336 0.190 0.408 O
0.414 0.656 0.852 O
0.476 0.935 0.194 O
0.526 0.409 0.197 O
0.607 0.026 0.852 O
0.665 0.788 0.634 O
0.669 0.536 0.408 O
0.977 0.464 0.851 O
0.993 0.866 0.416 O
```

Principal peaks in the range 2θ = 10–90°, in order of rising 2θ:
Position (°2θ), I_rel
23.83, 48
25.65, 100
27.69, 56
29.85, 37
33.52, 41
33.90, 92
36.40, 35
59.66, 38



Structure and theoretical powder diffraction line list of LiGaH4 (a PBE-relaxed structure; Cu Kα).

Crystal structure
```
LiGaH4
1.0
3.233 -3.499 0.000
3.233 3.499 0.000
0.000 0.000 6.135
Li Ga H
2 2 8
direct
0.077 0.923 0.750 Li
0.923 0.077 0.250 Li
0.320 0.680 0.250 Ga
0.680 0.320 0.750 Ga
0.173 0.827 0.047 H
0.173 0.827 0.453 H
0.249 0.349 0.250 H
0.349 0.249 0.750 H
0.651 0.751 0.250 H
0.751 0.651 0.750 H
0.827 0.173 0.547 H
0.827 0.173 0.953 H
```

Principal peaks in the range 2θ = 10–90°, in order of rising 2θ:
Position (°2θ), I_rel
23.69, 100
27.59, 25
29.11, 22
29.39, 26
40.54, 16
40.75, 20
46.51, 16
48.47, 20



Structure and theoretical powder diffraction line list of LiGaH4 (a PBE-relaxed structure; Cu Kα).

Crystal structure
```
LiGaH4
1.0
4.883 0.000 0.000
0.000 7.837 0.000
-3.107 0.000 7.403
Li Ga H
4 4 16
direct
0.079 0.040 0.323 Li
0.079 0.460 0.823 Li
0.921 0.540 0.177 Li
0.921 0.960 0.677 Li
0.341 0.706 0.567 Ga
0.341 0.794 0.067 Ga
0.659 0.206 0.933 Ga
0.659 0.294 0.433 Ga
0.136 0.624 0.024 H
0.136 0.876 0.524 H
0.238 0.592 0.390 H
0.238 0.908 0.890 H
0.304 0.605 0.729 H
0.304 0.895 0.229 H
0.323 0.235 0.377 H
0.323 0.265 0.877 H
0.677 0.735 0.123 H
0.677 0.765 0.623 H
0.696 0.105 0.771 H
0.696 0.395 0.271 H
0.762 0.092 0.110 H
0.762 0.408 0.610 H
0.864 0.124 0.476 H
0.864 0.376 0.976 H
```

Principal peaks in the range 2θ = 10–90°, in order of rising 2θ:
Position (°2θ), I_rel
19.72, 16
22.75, 100
24.04, 17
26.64, 39
27.07, 57
29.56, 17
33.30, 14
41.74, 15